Simulated X-ray powder pattern
Compound: Li4Fe2O5
Radiation: λ = 1.5418 Å (Cu Kα)
Structure: the GGA+U geometry in Alexandria
Neutral-atom scattering factors, no anomalous dispersion.

Peak list (10 most intense, 2θ from 5° to 70°, by intensity)
2θ 23.97, I = 100, hkl 0 1 2; 2θ 32.08, I = 51, hkl 1 0 -4; 2θ 16.80, I = 45, hkl 0 0 2; 2θ 22.01, I = 44, hkl 2 0 0; 2θ 34.34, I = 34, hkl 0 2 0; 2θ 56.98, I = 32, hkl 1 0 6; 2θ 31.92, I = 29, hkl 2 0 2; 2θ 29.62, I = 24, hkl 1 1 -3; 2θ 10.95, I = 24, hkl 1 0 0; 2θ 35.39, I = 22, hkl 0 2 1

Crystal structure
Cell lengths 8.5306, 5.2234, 11.1646 Å; angles 90.00, 108.75, 90.00 degrees
Space group P2_1/c (No. 14)
Unique sites:
Li (0.0011, 0.1705, 0.4118) (multiplicity 4)
Li (0.3831, 0.1289, 0.5074) (multiplicity 4)
Li (0.3831, 0.6603, 0.1741) (multiplicity 4)
Li (0.4843, 0.5105, 0.3794) (multiplicity 4)
Fe (0.1907, 0.6661, 0.3845) (multiplicity 4)
Fe (0.2078, 0.1640, 0.2130) (multiplicity 4)
O (0.0066, 0.2195, 0.5880) (multiplicity 4)
O (0.1992, 0.7057, 0.7242) (multiplicity 4)
O (0.2055, 0.2034, 0.8745) (multiplicity 4)
O (0.3967, 0.7497, 0.0051) (multiplicity 4)
O (0.4038, 0.2165, 0.6904) (multiplicity 4)